# Re3W2
Theoretical powder diffractogram, copper Kα. Input: DFT lattice parameters and positions (PBE).
Neutral-atom scattering factors, no anomalous dispersion.

Peak list (10 most intense, 10° ≤ 2θ ≤ 80°, low angle first)
2θ (°)  Rel. int.  index
35.8  21  0 0 2
38.5  85  4 1 0
39.7  39  3 3 0
40.5  34  2 0 2
41.7  64  2 1 2
42.7  100  4 1 1
43.7  46  3 3 1
67.9  21  5 3 2
69.1  24  4 1 3
71.2  16  7 2 0

Structural model:
```
data_Re3W2
_cell_length_a 9.6392
_cell_length_b 9.6392
_cell_length_c 5.0164
_cell_angle_alpha 90.00
_cell_angle_beta 90.00
_cell_angle_gamma 90.00
_symmetry_space_group_name_H-M 'P 42/m n m'
_symmetry_Int_Tables_number 136
_symmetry_space_group_name_Hall '-P 4n 2n'
loop_
_atom_site_label
_atom_site_type_symbol
_atom_site_fract_x
_atom_site_fract_y
_atom_site_fract_z
Re1 Re 0.0000 0.0000 0.0000
Re2 Re 0.0350 0.3656 0.5000
Re3 Re 0.0641 0.2622 0.0000
W1 W 0.1024 0.1024 0.5000
W2 W 0.1844 0.8156 0.2503
```

# Na5Ta
Theoretical powder diffractogram, copper Kα. Input: DFT lattice parameters and positions (PBE).
Neutral-atom scattering factors, no anomalous dispersion.

Peak list (10 most intense, 10° ≤ 2θ ≤ 80°, low angle first)
2θ (°)  Rel. int.  index
15.8  38  2 0 0
16.2  53  1 1 -1
16.4  100  1 3 0
17.2  90  0 2 1
22.2  37  2 2 -1
28.8  67  1 5 -1
32.4  66  1 3 -2
32.7  39  3 3 1
33.3  34  4 2 0
35.0  36  1 7 0

Structural model:
```
data_Na5Ta
_cell_length_a 11.3183
_cell_length_b 18.4337
_cell_length_c 6.2570
_cell_angle_alpha 90.00
_cell_angle_beta 96.72
_cell_angle_gamma 90.00
_symmetry_space_group_name_H-M 'C 1 2/m 1'
_symmetry_Int_Tables_number 12
loop_
_symmetry_equiv_pos_as_xyz
'x,y,z'
'-x,-y,-z'
'-x,y,-z'
'x,-y,z'
'x+1/2,y+1/2,z'
'-x+1/2,-y+1/2,-z'
'-x+1/2,y+1/2,-z'
'x+1/2,-y+1/2,z'
loop_
_atom_site_label
_atom_site_type_symbol
_atom_site_fract_x
_atom_site_fract_y
_atom_site_fract_z
Na1 Na 0.0563 0.1449 0.2753
Na2 Na 0.1235 0.5000 0.2209
Na3 Na 0.1252 0.0000 0.0458
Na4 Na 0.1306 0.2916 0.4943
Na5 Na 0.1365 0.4200 0.7279
Na6 Na 0.2126 0.1711 0.8764
Ta1 Ta 0.0000 0.3023 0.0000
Ta2 Ta 0.1001 0.0000 0.5503
```

Repeat the second record exactly.
# Na5Ta
Theoretical powder diffractogram, copper Kα. Input: DFT lattice parameters and positions (PBE).
Neutral-atom scattering factors, no anomalous dispersion.

Peak list (10 most intense, 10° ≤ 2θ ≤ 80°, low angle first)
2θ (°)  Rel. int.  index
15.8  38  2 0 0
16.2  53  1 1 -1
16.4  100  1 3 0
17.2  90  0 2 1
22.2  37  2 2 -1
28.8  67  1 5 -1
32.4  66  1 3 -2
32.7  39  3 3 1
33.3  34  4 2 0
35.0  36  1 7 0

Structural model:
```
data_Na5Ta
_cell_length_a 11.3183
_cell_length_b 18.4337
_cell_length_c 6.2570
_cell_angle_alpha 90.00
_cell_angle_beta 96.72
_cell_angle_gamma 90.00
_symmetry_space_group_name_H-M 'C 1 2/m 1'
_symmetry_Int_Tables_number 12
loop_
_symmetry_equiv_pos_as_xyz
'x,y,z'
'-x,-y,-z'
'-x,y,-z'
'x,-y,z'
'x+1/2,y+1/2,z'
'-x+1/2,-y+1/2,-z'
'-x+1/2,y+1/2,-z'
'x+1/2,-y+1/2,z'
loop_
_atom_site_label
_atom_site_type_symbol
_atom_site_fract_x
_atom_site_fract_y
_atom_site_fract_z
Na1 Na 0.0563 0.1449 0.2753
Na2 Na 0.1235 0.5000 0.2209
Na3 Na 0.1252 0.0000 0.0458
Na4 Na 0.1306 0.2916 0.4943
Na5 Na 0.1365 0.4200 0.7279
Na6 Na 0.2126 0.1711 0.8764
Ta1 Ta 0.0000 0.3023 0.0000
Ta2 Ta 0.1001 0.0000 0.5503
```